No. 1
# Li2Tl3ReSe6
Computed XRD peak list, CuKα. Input: a structure optimized by DFT (GGA-PBE).
Kinematic intensities with the Lorentz-polarization factor, no thermal factor.

Cell and atoms:
Cell lengths 6.910, 11.970, 7.362 Å; angles 90.00, 108.48, 90.00 degrees
Space group C2/m (No. 12)
One atom of each set of equivalent atoms:
Li1 0.000 0.165 0.000
Tl1 0.000 0.000 0.500
Tl2 0.000 0.338 0.500
Re1 0.000 0.500 0.000
Se1 0.218 0.350 0.205
Se2 0.239 0.500 0.797

Largest 10 diffraction maxima, low angle first, 2θ = 10–90°:
12.68°, I = 12, hkl 0 0 1
15.41°, I = 13, hkl 1 1 0
26.14°, I = 21, hkl 1 3 0
27.18°, I = 10, hkl 2 0 0
31.01°, I = 100, hkl 2 0 -2
33.58°, I = 14, hkl 1 3 -2
43.31°, I = 23, hkl 1 3 -3
43.45°, I = 11, hkl 2 0 2
45.47°, I = 35, hkl 3 3 -1
56.02°, I = 12, hkl 2 6 -2

=====

No. 2
# LiReSi2
Computed XRD peak list, CuKα. Input: a structure optimized by DFT (GGA-PBE).
Kinematic intensities with the Lorentz-polarization factor, no thermal factor.

Cell and atoms:
Cell lengths 5.070, 4.610, 9.819 Å; angles 90.00, 105.22, 90.00 degrees
Space group P2/c (No. 13)
One atom of each set of equivalent atoms:
Li1 0.206 0.187 0.358
Re1 0.083 0.335 0.636
Si1 0.260 0.170 0.087
Si2 0.437 0.297 0.873

Largest 10 diffraction maxima, low angle first, 2θ = 10–90°:
18.13°, I = 83, hkl 1 0 0
19.26°, I = 31, hkl 0 1 0
21.44°, I = 100, hkl 0 1 1
26.56°, I = 35, hkl 1 1 0
29.81°, I = 37, hkl 1 1 1
35.35°, I = 27, hkl 1 1 -3
37.99°, I = 40, hkl 0 0 4
40.27°, I = 29, hkl 0 2 1
45.01°, I = 44, hkl 2 1 -3
45.15°, I = 37, hkl 2 1 1

=====

No. 3
# LiTaRe
Computed XRD peak list, CuKα. Input: a structure optimized by DFT (GGA-PBE).
Kinematic intensities with the Lorentz-polarization factor, no thermal factor.

Cell and atoms:
Cell lengths 2.620, 4.382, 8.124 Å; angles 90.00, 90.00, 90.00 degrees
Space group Imm2 (No. 44)
One atom of each set of equivalent atoms:
Li1 0.000 0.000 0.000
Ta1 0.000 0.000 0.330
Re1 0.000 0.000 0.666

Largest 10 diffraction maxima, low angle first, 2θ = 10–90°:
21.88°, I = 53, hkl 0 0 2
23.06°, I = 86, hkl 0 1 1
36.02°, I = 28, hkl 1 0 1
39.10°, I = 100, hkl 0 1 3
40.10°, I = 93, hkl 1 1 0
41.20°, I = 43, hkl 0 2 0
46.14°, I = 31, hkl 1 1 2
48.34°, I = 55, hkl 1 0 3
65.35°, I = 45, hkl 1 2 3
83.31°, I = 23, hkl 1 1 6

=====

No. 4
# LiRe2Tc
Computed XRD peak list, CuKα. Input: a structure optimized by DFT (GGA-PBE).
Kinematic intensities with the Lorentz-polarization factor, no thermal factor.

Cell and atoms:
Cell lengths 3.043, 4.354, 8.537 Å; angles 90.00, 90.00, 90.00 degrees
Space group Imm2 (No. 44)
One atom of each set of equivalent atoms:
Li1 0.000 0.000 0.000
Re1 0.000 0.000 0.501
Re2 0.000 0.500 0.758
Tc1 0.000 0.500 0.245

Largest 10 diffraction maxima, low angle first, 2θ = 10–90°:
22.93°, I = 46, hkl 0 1 1
31.21°, I = 17, hkl 1 0 1
41.48°, I = 26, hkl 0 2 0
41.95°, I = 100, hkl 1 1 2
42.35°, I = 24, hkl 0 0 4
43.54°, I = 11, hkl 1 0 3
60.77°, I = 17, hkl 0 2 4
75.99°, I = 18, hkl 1 3 2
76.37°, I = 9, hkl 2 2 0
77.18°, I = 16, hkl 1 1 6

=====

No. 5
# Li3TiRe
Computed XRD peak list, CuKα. Input: a structure optimized by DFT (GGA-PBE).
Kinematic intensities with the Lorentz-polarization factor, no thermal factor.

Cell and atoms:
Cell lengths 4.288, 4.288, 4.288 Å; angles 90.00, 90.00, 90.00 degrees
Space group Pm-3m (No. 221)
One atom of each set of equivalent atoms:
Li1 0.000 0.000 0.500
Ti1 0.000 0.000 0.000
Re1 0.500 0.500 0.500

Largest 10 diffraction maxima, low angle first, 2θ = 10–90°:
20.71°, I = 38, hkl 1 0 0
29.46°, I = 100, hkl 1 1 0
36.29°, I = 17, hkl 1 1 1
42.15°, I = 22, hkl 2 0 0
47.41°, I = 19, hkl 2 1 0
52.26°, I = 40, hkl 2 1 1
61.13°, I = 15, hkl 2 2 0
65.28°, I = 10, hkl 3 0 0
69.30°, I = 17, hkl 3 1 0
84.55°, I = 20, hkl 3 2 1

=====

No. 6
# LiY2Re
Computed XRD peak list, CuKα. Input: a structure optimized by DFT (GGA-PBE).
Kinematic intensities with the Lorentz-polarization factor, no thermal factor.

Cell and atoms:
Cell lengths 10.444, 3.494, 5.056 Å; angles 90.00, 106.82, 90.00 degrees
Space group Cm (No. 8)
One atom of each set of equivalent atoms:
Li1 0.000 0.000 0.000
Y1 0.064 0.500 0.578
Y2 0.273 0.500 0.217
Re1 0.302 0.000 0.721

Largest 10 diffraction maxima, low angle first, 2θ = 10–90°:
17.74°, I = 68, hkl 2 0 0
18.33°, I = 51, hkl 0 0 1
27.03°, I = 28, hkl 1 1 0
31.32°, I = 42, hkl 1 1 -1
34.33°, I = 100, hkl 1 1 1
35.93°, I = 43, hkl 4 0 0
36.26°, I = 38, hkl 2 0 -2
37.15°, I = 24, hkl 0 0 2
38.04°, I = 80, hkl 3 1 -1
45.40°, I = 28, hkl 3 1 1

=====

No. 7
# Li2ZrRe
Computed XRD peak list, CuKα. Input: a structure optimized by DFT (GGA-PBE).
Kinematic intensities with the Lorentz-polarization factor, no thermal factor.

Cell and atoms:
Cell lengths 2.8242, 2.8242, 30.8348 Å; angles 90.00, 90.00, 120.00 degrees
Space group R3m (No. 160, hexagonal axes)
One atom of each set of equivalent atoms:
Li1 0.0000 0.0000 0.0000
Li2 0.0000 0.0000 0.2484
Zr1 0.0000 0.0000 0.7581
Re1 0.0000 0.0000 0.5078

Largest 10 diffraction maxima, low angle first, 2θ = 10–90°:
26.01°, I = 44, hkl 0 0 9
34.92°, I = 43, hkl 0 0 12
36.86°, I = 55, hkl 1 0 1
38.62°, I = 100, hkl 1 0 4
39.64°, I = 44, hkl 0 1 5
42.26°, I = 38, hkl 1 0 7
43.84°, I = 70, hkl 0 1 8
61.23°, I = 25, hkl 1 0 16
72.43°, I = 30, hkl 0 1 20
77.06°, I = 26, hkl 1 1 12

=====

No. 8
# Li2ZrRe
Computed XRD peak list, CuKα. Input: a structure optimized by DFT (GGA-PBE).
Kinematic intensities with the Lorentz-polarization factor, no thermal factor.

Cell and atoms:
Cell lengths 3.246, 4.515, 9.704 Å; angles 90.00, 90.00, 90.00 degrees
Space group Cmm2 (No. 35)
One atom of each set of equivalent atoms:
Li1 0.000 0.000 0.000
Li2 0.000 0.500 0.261
Zr1 0.000 0.000 0.542
Re1 0.000 0.500 0.777

Largest 10 diffraction maxima, low angle first, 2θ = 10–90°:
27.57°, I = 23, hkl 0 0 3
35.29°, I = 58, hkl 1 1 1
37.05°, I = 28, hkl 0 0 4
38.89°, I = 100, hkl 1 1 2
39.94°, I = 23, hkl 0 2 0
41.05°, I = 23, hkl 0 2 1
44.33°, I = 46, hkl 1 1 3
55.61°, I = 17, hkl 0 2 4
68.01°, I = 18, hkl 1 1 6
71.83°, I = 18, hkl 1 3 2

=====

No. 9
# Li7Rh6
Computed XRD peak list, CuKα. Input: a structure optimized by DFT (GGA-PBE).
Kinematic intensities with the Lorentz-polarization factor, no thermal factor.

Cell and atoms:
Cell lengths 4.6398, 4.6398, 26.3034 Å; angles 90.00, 90.00, 120.00 degrees
Space group R-3m (No. 166, hexagonal axes)
One atom of each set of equivalent atoms:
Li1 0.0000 0.0000 0.0000
Li2 0.0083 0.5041 0.4118
Rh1 0.0000 0.0000 0.1664
Rh2 0.0000 0.0000 0.3471
Rh3 0.0000 0.0000 0.4542

Largest 10 diffraction maxima, low angle first, 2θ = 10–90°:
10.09°, I = 40, hkl 0 0 3
20.26°, I = 52, hkl 0 0 6
22.38°, I = 45, hkl 1 0 1
25.99°, I = 21, hkl 1 0 4
38.82°, I = 100, hkl 1 1 0
41.01°, I = 59, hkl 1 0 10
44.13°, I = 80, hkl 0 1 11
57.74°, I = 19, hkl 0 2 10
71.77°, I = 22, hkl 2 1 10
73.96°, I = 23, hkl 1 2 11

=====

No. 10
# Li5Rh2
Computed XRD peak list, CuKα. Input: a structure optimized by DFT (GGA-PBE).
Kinematic intensities with the Lorentz-polarization factor, no thermal factor.

Cell and atoms:
Cell lengths 16.782, 4.590, 5.328 Å; angles 90.00, 90.68, 90.00 degrees
Space group C2/c (No. 15)
One atom of each set of equivalent atoms:
Li1 0.000 0.067 0.250
Li2 0.130 0.066 0.542
Li3 0.203 0.435 0.162
Rh1 0.067 0.444 0.884

Largest 10 diffraction maxima, low angle first, 2θ = 10–90°:
10.54°, I = 100, hkl 2 0 0
20.06°, I = 77, hkl 1 1 0
32.00°, I = 11, hkl 6 0 0
35.48°, I = 8, hkl 2 0 2
39.87°, I = 12, hkl 4 0 -2
40.32°, I = 8, hkl 4 0 2
42.27°, I = 11, hkl 3 1 -2
42.57°, I = 34, hkl 3 1 2
44.26°, I = 8, hkl 2 2 -1
48.16°, I = 8, hkl 5 1 2

=====

No. 11
# LiRuRh6
Computed XRD peak list, CuKα. Input: a structure optimized by DFT (GGA-PBE).
Kinematic intensities with the Lorentz-polarization factor, no thermal factor.

Cell and atoms:
Cell lengths 8.519, 3.815, 7.650 Å; angles 90.00, 116.78, 90.00 degrees
Space group C2/m (No. 12)
One atom of each set of equivalent atoms:
Li1 0.000 0.000 0.000
Ru1 0.000 0.000 0.500
Rh1 0.003 0.500 0.748
Rh2 0.248 0.000 0.373
Rh3 0.249 0.500 0.123

Largest 10 diffraction maxima, low angle first, 2θ = 10–90°:
12.96°, I = 7, hkl 0 0 1
40.98°, I = 100, hkl 1 1 2
47.55°, I = 16, hkl 2 0 -4
47.68°, I = 16, hkl 0 2 0
47.84°, I = 16, hkl 4 0 0
69.64°, I = 15, hkl 2 2 -4
69.83°, I = 15, hkl 4 2 0
83.98°, I = 12, hkl 1 1 -6
84.18°, I = 12, hkl 1 3 2
84.41°, I = 12, hkl 5 1 2

=====

No. 12
# LiSb2Rh4
Computed XRD peak list, CuKα. Input: a structure optimized by DFT (GGA-PBE).
Kinematic intensities with the Lorentz-polarization factor, no thermal factor.

Cell and atoms:
Cell lengths 4.3237, 4.3237, 21.1845 Å; angles 90.00, 90.00, 120.00 degrees
Space group R-3m (No. 166, hexagonal axes)
One atom of each set of equivalent atoms:
Li1 0.0000 0.0000 0.0000
Sb1 0.0000 0.0000 0.2487
Rh1 0.0000 0.0000 0.1250
Rh2 0.0000 0.0000 0.3749

Largest 10 diffraction maxima, low angle first, 2θ = 10–90°:
25.23°, I = 32, hkl 0 1 2
29.21°, I = 9, hkl 1 0 4
41.78°, I = 100, hkl 1 1 0
49.43°, I = 15, hkl 2 0 2
51.79°, I = 2, hkl 0 0 12
60.57°, I = 16, hkl 2 0 8
66.67°, I = 6, hkl 1 2 2
68.64°, I = 3, hkl 1 1 12
76.29°, I = 33, hkl 3 0 0
81.85°, I = 5, hkl 2 1 10

=====

No. 13
# Li2ScRh
Computed XRD peak list, CuKα. Input: a structure optimized by DFT (GGA-PBE).
Kinematic intensities with the Lorentz-polarization factor, no thermal factor.

Cell and atoms:
Cell lengths 3.728, 3.728, 9.267 Å; angles 90.00, 90.00, 90.00 degrees
Space group I4/mmm (No. 139)
One atom of each set of equivalent atoms:
Li1 0.000 0.500 0.250
Sc1 0.000 0.000 0.000
Rh1 0.000 0.000 0.500

Largest 10 diffraction maxima, low angle first, 2θ = 10–90°:
19.15°, I = 100, hkl 0 0 2
25.76°, I = 35, hkl 1 0 1
34.01°, I = 46, hkl 1 1 0
38.87°, I = 21, hkl 0 0 4
39.32°, I = 80, hkl 1 1 2
48.86°, I = 21, hkl 2 0 0
52.59°, I = 25, hkl 1 1 4
52.95°, I = 25, hkl 2 0 2
64.12°, I = 18, hkl 2 0 4
84.88°, I = 16, hkl 3 1 2

=====

No. 14
# Li3RhSe
Computed XRD peak list, CuKα. Input: a structure optimized by DFT (GGA-PBE).
Kinematic intensities with the Lorentz-polarization factor, no thermal factor.

Cell and atoms:
Cell lengths 4.639, 4.639, 4.639 Å; angles 90.00, 90.00, 90.00 degrees
Space group Pm-3m (No. 221)
One atom of each set of equivalent atoms:
Li1 0.000 0.000 0.500
Rh1 0.500 0.500 0.500
Se1 0.000 0.000 0.000

Largest 10 diffraction maxima, low angle first, 2θ = 10–90°:
27.19°, I = 100, hkl 1 1 0
33.46°, I = 2, hkl 1 1 1
38.83°, I = 24, hkl 2 0 0
48.05°, I = 41, hkl 2 1 1
56.08°, I = 16, hkl 2 2 0
63.41°, I = 17, hkl 3 1 0
70.30°, I = 5, hkl 2 2 2
76.90°, I = 20, hkl 3 2 1
83.33°, I = 3, hkl 4 0 0
89.68°, I = 11, hkl 4 1 1

=====

No. 15
# LiTh4Si3Rh12
Computed XRD peak list, CuKα. Input: a structure optimized by DFT (GGA-PBE).
Kinematic intensities with the Lorentz-polarization factor, no thermal factor.

Cell and atoms:
Cell lengths 8.939, 8.939, 8.939 Å; angles 90.00, 90.00, 90.00 degrees
Space group Im-3m (No. 229)
One atom of each set of equivalent atoms:
Li1 0.000 0.000 0.000
Th1 0.250 0.250 0.250
Si1 0.000 0.000 0.500
Rh1 0.000 0.000 0.248
Rh2 0.000 0.250 0.500

Largest 10 diffraction maxima, low angle first, 2θ = 10–90°:
19.86°, I = 9, hkl 2 0 0
28.24°, I = 19, hkl 2 2 0
34.76°, I = 100, hkl 2 2 2
40.36°, I = 59, hkl 4 0 0
45.37°, I = 5, hkl 4 2 0
49.98°, I = 8, hkl 4 2 2
58.40°, I = 40, hkl 4 4 0
69.79°, I = 39, hkl 6 2 2
73.38°, I = 13, hkl 4 4 4
87.25°, I = 7, hkl 8 0 0